# KSi2Te8Ir
Simulated X-ray diffraction stick pattern, Cu Kα. Input: a cell relaxed with PBE.

Atomic structure:
```
KSi2Te8Ir
1.0
3.3841 1.9538 9.0914
-3.3841 1.9538 9.0914
0.0000 -3.9076 9.0914
K Si Te Ir
1 2 8 1
Cartesian
0.0000 0.0000 0.0000
0.0000 0.0000 6.8562
0.0000 0.0000 20.4179
-0.9617 -2.0507 12.2038
-2.2568 -0.1925 15.0703
0.0000 0.0000 9.3979
-1.2952 1.8582 12.2038
1.2952 -1.8582 15.0703
0.0000 0.0000 17.8763
2.2568 0.1925 12.2038
0.9617 2.0507 15.0703
0.0000 0.0000 13.6371
```

Largest 10 diffraction maxima, in order of rising 2θ, 2θ = 15–90°:
| d [Å] | I/Imax |
| --- | --- |
| 5.731 | 330 |
| 3.993 | 155 |
| 3.171 | 882 |
| 3.030 | 222 |
| 2.714 | 1000 |
| 1.954 | 448 |
| 1.887 | 381 |
| 1.642 | 175 |
| 1.586 | 172 |
| 1.231 | 129 |